Entry 1:
Theoretical powder XRD pattern of Ce3ErBi4 for Cu Kα X-rays, from the PBE geometry in Alexandria.

Crystal structure
```
data_Ce3ErBi4
_chemical_formula_sum 'Ce6 Er2 Bi8'
_cell_length_a 9.111
_cell_length_b 12.903
_cell_length_c 4.572
_cell_angle_alpha 90.00
_cell_angle_beta 90.00
_cell_angle_gamma 90.00
_symmetry_space_group_name_H-M 'P 1'
_symmetry_Int_Tables_number 1
_symmetry_space_group_name_Hall 'P 1'
loop_
_atom_site_label
_atom_site_fract_x
_atom_site_fract_y
_atom_site_fract_z
Ce1 0.000 0.000 0.000
Ce2 0.250 0.250 0.500
Ce3 0.250 0.750 0.500
Ce4 0.500 0.500 0.000
Ce5 0.750 0.250 0.500
Ce6 0.750 0.750 0.500
Er1 0.000 0.500 0.000
Er2 0.500 0.000 0.000
Bi1 0.000 0.253 0.000
Bi2 0.000 0.747 0.000
Bi3 0.244 0.500 0.500
Bi4 0.256 0.000 0.500
Bi5 0.500 0.247 0.000
Bi6 0.500 0.753 0.000
Bi7 0.744 0.000 0.500
Bi8 0.756 0.500 0.500
```

Most intense lines, 5 to 70 degrees two-theta, by angle:
2θ 23.88, I 5
2θ 27.65, I 100
2θ 39.48, I 65
2θ 39.56, I 13
2θ 46.68, I 3
2θ 48.83, I 14
2θ 48.95, I 14
2θ 57.09, I 14
2θ 64.48, I 6
2θ 64.61, I 31


Entry 2:
Theoretical powder XRD pattern of Ce3Ho2ErBi6 for Cu Kα X-rays, from the PBE geometry in Alexandria.

Crystal structure
```
data_Ce3Ho2ErBi6
_chemical_formula_sum 'Ce3 Ho2 Er1 Bi6'
_cell_length_a 7.842
_cell_length_b 7.842
_cell_length_c 7.847
_cell_angle_alpha 99.59
_cell_angle_beta 99.59
_cell_angle_gamma 120.00
_symmetry_space_group_name_H-M 'P 1'
_symmetry_Int_Tables_number 1
_symmetry_space_group_name_Hall 'P 1'
loop_
_atom_site_label
_atom_site_fract_x
_atom_site_fract_y
_atom_site_fract_z
Ce1 0.000 0.000 0.000
Ce2 0.333 0.667 0.000
Ce3 0.667 0.333 0.000
Ho1 0.167 0.833 0.500
Ho2 0.833 0.167 0.500
Er1 0.500 0.500 0.500
Bi1 0.087 0.420 0.259
Bi2 0.248 0.248 0.742
Bi3 0.420 0.087 0.259
Bi4 0.580 0.913 0.741
Bi5 0.752 0.752 0.258
Bi6 0.913 0.580 0.741
```

Most intense lines, 5 to 70 degrees two-theta, by angle:
2θ 11.96, I 1
2θ 24.07, I 4
2θ 27.86, I 100
2θ 36.44, I 1
2θ 39.81, I 78
2θ 47.06, I 2
2θ 49.29, I 28
2θ 57.56, I 13
2θ 63.29, I 1
2θ 65.13, I 37


Entry 3:
Theoretical powder XRD pattern of CeEuBi for Cu Kα X-rays, from the PBE geometry in Alexandria.

Crystal structure
```
data_CeEuBi
_chemical_formula_sum 'Ce1 Eu1 Bi1'
_cell_length_a 5.456
_cell_length_b 5.456
_cell_length_c 3.855
_cell_angle_alpha 90.00
_cell_angle_beta 90.00
_cell_angle_gamma 120.00
_symmetry_space_group_name_H-M 'P 1'
_symmetry_Int_Tables_number 1
_symmetry_space_group_name_Hall 'P 1'
loop_
_atom_site_label
_atom_site_fract_x
_atom_site_fract_y
_atom_site_fract_z
Ce1 0.000 0.000 0.000
Eu1 0.667 0.333 0.438
Bi1 0.333 0.667 0.727
```

Most intense lines, 5 to 70 degrees two-theta, by angle:
2θ 23.07, I 6
2θ 29.91, I 100
2θ 32.83, I 84
2θ 40.51, I 9
2θ 45.00, I 33
2θ 51.18, I 25
2θ 56.81, I 33
2θ 58.61, I 17
2θ 62.15, I 14
2θ 68.83, I 10


Entry 4:
Theoretical powder XRD pattern of Ce4FeBi for Cu Kα X-rays, from the PBE geometry in Alexandria.

Crystal structure
```
data_Ce4FeBi
_chemical_formula_sum 'Ce8 Fe2 Bi2'
_cell_length_a 8.978
_cell_length_b 8.978
_cell_length_c 5.744
_cell_angle_alpha 108.50
_cell_angle_beta 108.50
_cell_angle_gamma 45.55
_symmetry_space_group_name_H-M 'P 1'
_symmetry_Int_Tables_number 1
_symmetry_space_group_name_Hall 'P 1'
loop_
_atom_site_label
_atom_site_fract_x
_atom_site_fract_y
_atom_site_fract_z
Ce1 0.127 0.640 0.383
Ce2 0.210 0.790 0.000
Ce3 0.312 0.312 0.810
Ce4 0.360 0.873 0.617
Ce5 0.640 0.127 0.383
Ce6 0.688 0.688 0.190
Ce7 0.790 0.210 0.000
Ce8 0.873 0.360 0.617
Fe1 0.499 0.499 0.240
Fe2 0.501 0.501 0.760
Bi1 0.195 0.195 0.194
Bi2 0.805 0.805 0.806
```

Most intense lines, 5 to 70 degrees two-theta, by angle:
2θ 28.13, I 31
2θ 30.61, I 21
2θ 31.14, I 48
2θ 32.75, I 88
2θ 34.62, I 16
2θ 34.79, I 100
2θ 42.46, I 37
2θ 54.07, I 18
2θ 57.79, I 24
2θ 63.43, I 22


Entry 5:
Theoretical powder XRD pattern of Ce6Fe2Bi for Cu Kα X-rays, from the PBE geometry in Alexandria.

Crystal structure
```
data_Ce6Fe2Bi
_chemical_formula_sum 'Ce6 Fe2 Bi1'
_cell_length_a 5.852
_cell_length_b 5.852
_cell_length_c 8.731
_cell_angle_alpha 91.97
_cell_angle_beta 91.97
_cell_angle_gamma 46.64
_symmetry_space_group_name_H-M 'P 1'
_symmetry_Int_Tables_number 1
_symmetry_space_group_name_Hall 'P 1'
loop_
_atom_site_label
_atom_site_fract_x
_atom_site_fract_y
_atom_site_fract_z
Ce1 0.086 0.086 0.176
Ce2 0.214 0.214 0.629
Ce3 0.411 0.411 0.133
Ce4 0.589 0.589 0.867
Ce5 0.786 0.786 0.371
Ce6 0.914 0.914 0.824
Fe1 0.244 0.244 0.877
Fe2 0.756 0.756 0.123
Bi1 0.500 0.500 0.500
```

Most intense lines, 5 to 70 degrees two-theta, by angle:
2θ 29.55, I 69
2θ 30.74, I 19
2θ 31.58, I 15
2θ 32.95, I 100
2θ 34.52, I 30
2θ 35.34, I 16
2θ 38.40, I 22
2θ 38.88, I 41
2θ 52.96, I 18
2θ 66.63, I 20


Entry 6:
Theoretical powder XRD pattern of Ce10GaBi6 for Cu Kα X-rays, from the PBE geometry in Alexandria.

Crystal structure
```
data_Ce10GaBi6
_chemical_formula_sum 'Ce10 Ga1 Bi6'
_cell_length_a 9.608
_cell_length_b 9.608
_cell_length_c 6.496
_cell_angle_alpha 90.00
_cell_angle_beta 90.00
_cell_angle_gamma 120.00
_symmetry_space_group_name_H-M 'P 1'
_symmetry_Int_Tables_number 1
_symmetry_space_group_name_Hall 'P 1'
loop_
_atom_site_label
_atom_site_fract_x
_atom_site_fract_y
_atom_site_fract_z
Ce1 0.000 0.261 0.248
Ce2 0.000 0.739 0.752
Ce3 0.261 0.000 0.248
Ce4 0.261 0.261 0.752
Ce5 0.333 0.667 0.000
Ce6 0.333 0.667 0.500
Ce7 0.667 0.333 0.000
Ce8 0.667 0.333 0.500
Ce9 0.739 0.000 0.752
Ce10 0.739 0.739 0.248
Ga1 0.000 0.000 0.000
Bi1 0.000 0.383 0.751
Bi2 0.000 0.617 0.249
Bi3 0.383 0.000 0.751
Bi4 0.383 0.383 0.249
Bi5 0.617 0.000 0.249
Bi6 0.617 0.617 0.751
```

Most intense lines, 5 to 70 degrees two-theta, by angle:
2θ 23.03, I 15
2θ 27.46, I 25
2θ 31.61, I 96
2θ 32.28, I 88
2θ 33.30, I 100
2θ 41.53, I 28
2θ 47.05, I 26
2θ 51.22, I 25
2θ 60.59, I 17
2θ 66.74, I 22